# 1
Theoretical X-ray diffraction stick pattern of CaCr2F6 for Cu Ka, from a DFT-relaxed cell (GGA+U, Alexandria).
Kinematic intensities with the Lorentz-polarization factor, no thermal factor.

The 10 most intense peaks (2θ = 15–90°), by angle:
2θ 20.77, I = 100, hkl 0 1 1; 2θ 24.38, I = 26, hkl 1 1 -1; 2θ 29.58, I = 32, hkl 1 1 1; 2θ 30.11, I = 27, hkl 1 0 2; 2θ 31.33, I = 49, hkl 1 1 -3; 2θ 35.67, I = 30, hkl 1 1 2; 2θ 49.14, I = 21, hkl 1 2 2; 2θ 49.96, I = 31, hkl 2 2 -2; 2θ 50.89, I = 29, hkl 1 2 -4; 2θ 53.35, I = 19, hkl 3 0 0

Crystal structure
a = 5.7365 Å, b = 4.7480 Å, c = 10.9733 Å
α = 90.00°, β = 116.09°, γ = 90.00°
Space group P2_1/c (No. 14)
Asymmetric unit:
Ca  0.0000  0.0000  0.0000 (multiplicity 2)
Cr  0.3253  0.0286  0.8198 (multiplicity 4)
F  0.0308  0.2491  0.3332 (multiplicity 4)
F  0.3218  0.7077  0.4736 (multiplicity 4)
F  0.3604  0.2009  0.1810 (multiplicity 4)

=====

# 2
Theoretical X-ray diffraction stick pattern of Ca5CrN4F2 for Cu Ka, from a DFT-relaxed cell (GGA+U, Alexandria).
Kinematic intensities with the Lorentz-polarization factor, no thermal factor.

The 10 most intense peaks (2θ = 15–90°), by angle:
2θ 31.07, I = 25, hkl 0 0 2; 2θ 31.48, I = 85, hkl 2 1 1; 2θ 31.93, I = 26, hkl 2 2 0; 2θ 32.41, I = 100, hkl 0 3 1; 2θ 45.15, I = 69, hkl 2 2 2; 2θ 52.57, I = 15, hkl 4 0 0; 2θ 55.54, I = 14, hkl 2 1 3; 2θ 56.12, I = 20, hkl 0 3 3; 2θ 57.78, I = 28, hkl 2 5 1; 2θ 63.12, I = 16, hkl 4 3 1

Crystal structure
a = 6.9641 Å, b = 9.4474 Å, c = 5.7569 Å
α = 90.00°, β = 90.00°, γ = 90.00°
Space group Amm2 (No. 38)
Asymmetric unit:
Ca  0.0000  0.0000  0.0000 (multiplicity 2)
Ca  0.2820  0.1837  0.4840 (multiplicity 8)
Cr  0.5000  0.0000  0.0066 (multiplicity 2)
N  0.2753  0.0000  0.2066 (multiplicity 4)
N  0.5000  0.1601  0.8029 (multiplicity 4)
F  0.0000  0.1935  0.7464 (multiplicity 4)